Starting from DFT lattice parameters and positions (GGA-PBE), the XRD peak list of Li2UCl5 was calculated for Cu Kα (λ = 1.5418 Å).
No peak broadening, texture or thermal motion is included.

Main lines, low angle first (2θ = 15–90°):
- d = 5.882 Å, 2θ = 15.06°, rel. 100, (0 1 1)
- d = 4.893 Å, 2θ = 18.13°, rel. 37, (0 2 1)
- d = 3.977 Å, 2θ = 22.36°, rel. 25, (0 3 1)
- d = 3.892 Å, 2θ = 22.85°, rel. 25, (1 1 0)
- d = 3.403 Å, 2θ = 26.19°, rel. 47, (1 0 1)
- d = 3.108 Å, 2θ = 28.72°, rel. 24, (1 2 1)
- d = 2.829 Å, 2θ = 31.63°, rel. 52, (1 3 1)
- d = 2.754 Å, 2θ = 32.52°, rel. 25, (0 5 1)
- d = 2.701 Å, 2θ = 33.17°, rel. 31, (0 3 2)
- d = 2.542 Å, 2θ = 35.30°, rel. 26, (0 6 0)
- d = 2.432 Å, 2θ = 36.95°, rel. 26, (1 5 0)
- d = 2.375 Å, 2θ = 37.89°, rel. 45, (1 2 2)

Crystal structure
a = 4.025 Å, b = 15.266 Å, c = 6.374 Å
α = 90.00°, β = 90.00°, γ = 90.00°
Space group Pmmn (No. 59, origin choice 2)
Symmetry-distinct sites (fractional):
1 Li 0.250 0.085 0.084 (multiplicity 4)
2 U 0.250 0.750 0.351 (multiplicity 2)
3 Cl 0.250 0.142 0.449 (multiplicity 4)
4 Cl 0.250 0.250 0.956 (multiplicity 2)
5 Cl 0.250 0.579 0.126 (multiplicity 4)